# 1
# RbCoC4O4
Computed X-ray powder pattern, Cu Kα (λ = 1.5418 Å). Input: a structure optimized by DFT (PBE+U).
Lines closer than 0.1° are merged.

Most intense lines, 10° ≤ 2θ ≤ 80°, sorted by position:
2θ/deg	I (rel.)
18.7	93.4
19.4	79.7
19.8	93.2
24.6	100.0
26.3	90.9
28.7	95.9
29.6	85.7
30.5	62.2
33.9	41.7
34.5	77.2

```
data_RbCoC4O4
_chemical_formula_sum 'Rb8 Co8 C32 O32'
_cell_length_a 22.5437
_cell_length_b 5.9077
_cell_length_c 14.5435
_cell_angle_alpha 90.00
_cell_angle_beta 125.72
_cell_angle_gamma 90.00
_space_group_name_H-M_alt 'C 1 2/c 1'
_space_group_IT_number 15
_space_group_name_Hall '-C 2yc'
loop_
_atom_site_label
_atom_site_type_symbol
_atom_site_fract_x
_atom_site_fract_y
_atom_site_fract_z
Rb1 Rb 0.1735 0.0450 0.0611
Co1 Co 0.1225 0.2908 0.2613
C1 C 0.0397 0.1576 0.1589
C2 C 0.1061 0.4561 0.3435
C3 C 0.1468 0.4845 0.1988
C4 C 0.1858 0.0799 0.3409
O1 O 0.0163 0.0708 0.4083
O2 O 0.0939 0.4269 0.8957
O3 O 0.1640 0.3778 0.6597
O4 O 0.2269 0.0671 0.8974
```

# 2
# Co2C5SO5
Computed X-ray powder pattern, Cu Kα (λ = 1.5418 Å). Input: a structure optimized by DFT (PBE+U).
Lines closer than 0.1° are merged.

Most intense lines, 10° ≤ 2θ ≤ 80°, sorted by position:
2θ/deg	I (rel.)
10.8	62.7
12.2	27.5
14.5	13.4
15.1	100.0
16.0	74.3
32.0	14.4
32.2	16.9
36.4	13.9
42.8	14.4
45.6	11.2

```
data_Co2C5SO5
_chemical_formula_sum 'Co8 C20 S4 O20'
_cell_length_a 9.9227
_cell_length_b 6.7061
_cell_length_c 14.8683
_cell_angle_alpha 90.00
_cell_angle_beta 124.73
_cell_angle_gamma 90.00
_space_group_name_H-M_alt 'P 1 21/c 1'
_space_group_IT_number 14
_space_group_name_Hall '-P 2ybc'
loop_
_atom_site_label
_atom_site_type_symbol
_atom_site_fract_x
_atom_site_fract_y
_atom_site_fract_z
Co1 Co 0.1459 0.0715 0.4702
Co2 Co 0.1571 0.5432 0.1428
C1 C 0.0117 0.6206 0.1813
C2 C 0.2610 0.2042 0.0084
C3 C 0.2704 0.1344 0.7486
C4 C 0.2781 0.5808 0.9549
C5 C 0.3000 0.7421 0.2011
S1 S 0.0117 0.6936 0.9773
O1 O 0.0168 0.6686 0.2593
O2 O 0.3426 0.0634 0.0361
O3 O 0.3486 0.2441 0.8202
O4 O 0.3672 0.6709 0.9441
O5 O 0.3993 0.6349 0.7416
```